This entry pairs a crystal structure of Pr6TlRh3 with its calculated X-ray powder pattern. Radiation: Cu Kα (λ = 1.5418 Å). Structure: the GGA-PBE geometry in Alexandria.

Largest 8 diffraction maxima, sorted by position, 2θ = 15–90°:
2theta, d (Å), I/Imax, h k l
28.7, 3.108, 35, 2 0 2
29.4, 3.041, 59, 0 4 1
31.0, 2.884, 29, 4 0 0
31.8, 2.817, 43, 2 2 2
33.1, 2.705, 61, 3 3 1
33.3, 2.689, 54, 2 4 1
33.9, 2.645, 30, 4 2 0
34.4, 2.610, 100, 3 1 2

Structure:
```
data_Pr6TlRh3
_chemical_formula_sum 'Pr24 Tl4 Rh12'
_cell_length_a 11.5230
_cell_length_b 13.3487
_cell_length_c 7.3819
_cell_angle_alpha 90.00
_cell_angle_beta 90.00
_cell_angle_gamma 90.00
_space_group_name_H-M_alt 'C m c 21'
_space_group_IT_number 36
_space_group_name_Hall 'C 2c -2'
loop_
_atom_site_label
_atom_site_type_symbol
_atom_site_fract_x
_atom_site_fract_y
_atom_site_fract_z
Pr1 Pr 0.0000 0.0652 0.0000
Pr2 Pr 0.0000 0.2113 0.5332
Pr3 Pr 0.1591 0.4692 0.4704
Pr4 Pr 0.2210 0.2809 0.8532
Tl1 Tl 0.0000 0.3239 0.1469
Rh1 Rh 0.0000 0.3861 0.7643
Rh2 Rh 0.1696 0.0844 0.6870
```



This entry pairs a crystal structure of Pr8Si3PdI4 with its calculated X-ray powder pattern. Radiation: Cu Kα (λ = 1.5418 Å). Structure: the GGA-PBE geometry in Alexandria.

Largest 8 diffraction maxima, sorted by position, 2θ = 15–90°:
2theta, d (Å), I/Imax, h k l
28.2, 3.167, 100, 2 0 2
30.5, 2.932, 21, 2 0 -1
34.7, 2.584, 10, 0 0 3
39.1, 2.303, 29, 2 2 4
41.4, 2.181, 39, 4 2 2
50.8, 1.796, 19, 4 4 4
55.1, 1.666, 16, 4 2 -1
67.6, 1.386, 11, 6 2 4

Structure:
```
data_Pr8Si3PdI4
_chemical_formula_sum 'Pr8 Si3 Pd1 I4'
_cell_length_a 8.7159
_cell_length_b 8.7264
_cell_length_c 9.2416
_cell_angle_alpha 61.85
_cell_angle_beta 61.88
_cell_angle_gamma 60.05
_space_group_name_H-M_alt 'P -1'
_space_group_IT_number 2
_space_group_name_Hall '-P 1'
loop_
_atom_site_label
_atom_site_type_symbol
_atom_site_fract_x
_atom_site_fract_y
_atom_site_fract_z
Pr1 Pr 0.2300 0.2348 0.3004
Pr2 Pr 0.2323 0.7336 0.3003
Pr3 Pr 0.2667 0.2686 0.6989
Pr4 Pr 0.2671 0.7662 0.6982
Si1 Si 0.0000 0.0000 0.5000
Si2 Si 0.0000 0.5000 0.5000
Si3 Si 0.5000 0.5000 0.5000
Pd1 Pd 0.5000 0.0000 0.5000
I1 I 0.0000 0.0000 0.0000
I2 I 0.0000 0.5000 0.0000
I3 I 0.5000 0.0000 0.0000
I4 I 0.5000 0.5000 0.0000
```



This entry pairs a crystal structure of PuTePdO6 with its calculated X-ray powder pattern. Radiation: Cu Kα (λ = 1.5418 Å). Structure: the GGA-PBE geometry in Alexandria.

Largest 8 diffraction maxima, sorted by position, 2θ = 15–90°:
2theta, d (Å), I/Imax, h k l
19.5, 4.544, 28, 0 0 2
26.9, 3.317, 100, 1 0 2
31.9, 2.802, 67, 1 1 0
37.7, 2.385, 33, 1 1 2
42.2, 2.140, 30, 2 0 2
51.8, 1.765, 52, 1 1 4
53.9, 1.701, 31, 2 1 2
56.9, 1.618, 23, 3 0 0

Structure:
```
data_PuTePdO6
_chemical_formula_sum 'Pu2 Te2 Pd2 O12'
_cell_length_a 5.6034
_cell_length_b 5.6034
_cell_length_c 9.0888
_cell_angle_alpha 90.00
_cell_angle_beta 90.00
_cell_angle_gamma 120.00
_space_group_name_H-M_alt 'P -3 1 c'
_space_group_IT_number 163
_space_group_name_Hall '-P 3 2c'
loop_
_atom_site_label
_atom_site_type_symbol
_atom_site_fract_x
_atom_site_fract_y
_atom_site_fract_z
Pu1 Pu 0.3333 0.6667 0.2500
Te1 Te 0.3333 0.6667 0.7500
Pd1 Pd 0.0000 0.0000 0.0000
O1 O 0.0052 0.3454 0.1308
```



This entry pairs a crystal structure of HoRhC with its calculated X-ray powder pattern. Radiation: Cu Kα (λ = 1.5418 Å). Structure: the GGA-PBE geometry in Alexandria.

Largest 8 diffraction maxima, sorted by position, 2θ = 15–90°:
2theta, d (Å), I/Imax, h k l
33.4, 2.682, 100, 0 1 2
38.1, 2.362, 24, 0 0 6
40.2, 2.243, 69, 1 0 4
54.9, 1.673, 28, 1 1 0
61.3, 1.512, 19, 0 1 8
65.8, 1.419, 14, 2 0 2
68.8, 1.365, 26, 1 1 6
70.2, 1.341, 13, 0 2 4

Structure:
```
data_HoRhC
_chemical_formula_sum 'Ho3 Rh3 C3'
_cell_length_a 3.3457
_cell_length_b 3.3457
_cell_length_c 14.1744
_cell_angle_alpha 90.00
_cell_angle_beta 90.00
_cell_angle_gamma 120.00
_space_group_name_H-M_alt 'R 3 m'
_space_group_IT_number 160
_space_group_name_Hall 'R 3 -2"'
loop_
_atom_site_label
_atom_site_type_symbol
_atom_site_fract_x
_atom_site_fract_y
_atom_site_fract_z
Ho1 Ho 0.0000 0.0000 0.0000
Rh1 Rh 0.0000 0.0000 0.4965
C1 C 0.0000 0.0000 0.7753
```



This entry pairs a crystal structure of TiInSiHg2 with its calculated X-ray powder pattern. Radiation: Cu Kα (λ = 1.5418 Å). Structure: the GGA-PBE geometry in Alexandria.

Largest 8 diffraction maxima, sorted by position, 2θ = 15–90°:
2theta, d (Å), I/Imax, h k l
17.3, 5.124, 23, 0 0 1
30.7, 2.909, 100, 1 1 1
35.0, 2.562, 22, 0 0 2
35.9, 2.499, 41, 2 0 0
51.1, 1.789, 30, 2 0 2
60.2, 1.538, 15, 1 1 3
61.4, 1.510, 28, 3 1 1
64.0, 1.455, 15, 2 2 2

Structure:
```
data_TiInSiHg2
_chemical_formula_sum 'Ti1 In1 Si1 Hg2'
_cell_length_a 4.9983
_cell_length_b 4.9983
_cell_length_c 5.1243
_cell_angle_alpha 90.00
_cell_angle_beta 90.00
_cell_angle_gamma 90.00
_space_group_name_H-M_alt 'P 4/m m m'
_space_group_IT_number 123
_space_group_name_Hall '-P 4 2'
loop_
_atom_site_label
_atom_site_type_symbol
_atom_site_fract_x
_atom_site_fract_y
_atom_site_fract_z
Ti1 Ti 0.0000 0.0000 0.0000
In1 In 0.5000 0.5000 0.0000
Si1 Si 0.5000 0.5000 0.5000
Hg1 Hg 0.0000 0.5000 0.5000
```



This entry pairs a crystal structure of Na12AgHg7 with its calculated X-ray powder pattern. Radiation: Cu Kα (λ = 1.5418 Å). Structure: the GGA-PBE geometry in Alexandria.

Largest 8 diffraction maxima, sorted by position, 2θ = 15–90°:
2theta, d (Å), I/Imax, h k l
21.2, 4.187, 70, 2 1 1
27.7, 3.219, 37, 1 3 1
32.2, 2.778, 59, 4 -1 2
33.0, 2.712, 100, 3 2 1
37.0, 2.433, 53, 5 -3 2
38.0, 2.370, 62, 2 2 3
38.5, 2.339, 39, 1 0 4
44.1, 2.054, 42, 6 0 0

Structure:
```
data_Na12AgHg7
_chemical_formula_sum 'Na36 Ag3 Hg21'
_cell_length_a 14.2382
_cell_length_b 14.2382
_cell_length_c 9.5310
_cell_angle_alpha 90.00
_cell_angle_beta 90.00
_cell_angle_gamma 120.00
_space_group_name_H-M_alt 'R -3'
_space_group_IT_number 148
_space_group_name_Hall '-R 3'
loop_
_atom_site_label
_atom_site_type_symbol
_atom_site_fract_x
_atom_site_fract_y
_atom_site_fract_z
Na1 Na 0.0352 0.2424 0.4196
Na2 Na 0.0618 0.8075 0.9559
Ag1 Ag 0.0000 0.0000 0.5000
Hg1 Hg 0.0000 0.0000 0.0000
Hg2 Hg 0.0088 0.1503 0.7369
```